Entry 1:
Starting from the PBE geometry in Alexandria, the PXRD pattern of Pm2ErPO8 was calculated for a wavelength of 1.5418 Å.
Peak positions follow from Bragg's law for the DFT cell and can differ from measured ones.

Crystal structure
Lattice parameters (Å, degrees): 5.2176 5.2176 6.1522 90.00 90.00 120.00
Space group P-3m1 (No. 164)
One atom of each set of equivalent atoms:
Pm 0.3333 0.6667 0.3633 x2
Er 0.0000 0.0000 0.0000 x1
P 0.0000 0.0000 0.5000 x1
O 0.1525 0.3050 0.6653 x6
O 0.3333 0.6667 0.0191 x2

The 10 most intense peaks (10° ≤ 2θ ≤ 90°), in order of rising 2θ:
2θ/deg, Rel. int., h k l
24.44, 100, 0 1 1
34.38, 73, 1 1 0
35.30, 48, 1 0 2
42.63, 42, 2 0 1
44.16, 13, 0 0 3
50.10, 30, 0 2 2
55.87, 23, 1 2 1
57.13, 21, 1 1 3
61.57, 13, 3 0 0
62.17, 20, 2 1 2



Entry 2:
Starting from the PBE geometry in Alexandria, the PXRD pattern of CuNi5Se12 was calculated for a wavelength of 1.5418 Å.
Peak positions follow from Bragg's law for the DFT cell and can differ from measured ones.

Crystal structure
Lattice parameters (Å, degrees): 6.261 10.788 10.220 90.00 93.63 90.00
Space group C2/m (No. 12)
One atom of each set of equivalent atoms:
Cu 0.000 0.000 0.000 x2
Ni 0.000 0.167 0.500 x4
Ni 0.000 0.333 0.000 x4
Ni 0.000 0.500 0.500 x2
Se 0.159 0.332 0.380 x8
Se 0.160 0.000 0.383 x4
Se 0.172 0.500 0.120 x4
Se 0.190 0.175 0.125 x8

The 10 most intense peaks (10° ≤ 2θ ≤ 90°), in order of rising 2θ:
2θ/deg, Rel. int., h k l
17.39, 74, 0 0 2
30.45, 36, 2 0 1
33.21, 100, 1 3 -2
34.19, 100, 1 3 2
38.57, 46, 1 3 -3
39.85, 42, 1 3 3
50.78, 39, 0 6 0
50.97, 63, 3 3 -1
52.00, 36, 3 3 1
52.86, 25, 1 3 -5



Entry 3:
Starting from the PBE geometry in Alexandria, the PXRD pattern of Pr8Pd2Ru3 was calculated for a wavelength of 1.5418 Å.
Peak positions follow from Bragg's law for the DFT cell and can differ from measured ones.

Crystal structure
Lattice parameters (Å, degrees): 8.771 5.017 8.785 90.00 109.87 90.00
Space group P2/m (No. 10)
One atom of each set of equivalent atoms:
Pr 0.118 0.000 0.383 x2
Pr 0.133 0.500 0.870 x2
Pr 0.371 0.500 0.634 x2
Pr 0.379 0.000 0.120 x2
Pd 0.248 0.500 0.251 x2
Ru 0.251 0.000 0.751 x2
Ru 0.500 0.500 0.000 x1

The 10 most intense peaks (10° ≤ 2θ ≤ 90°), in order of rising 2θ:
2θ/deg, Rel. int., h k l
21.57, 14, 2 0 0
25.04, 17, 1 1 1
35.52, 100, 3 1 -1
35.61, 25, 2 0 2
35.79, 25, 0 2 0
51.38, 18, 2 2 2
63.70, 13, 6 0 -2
63.90, 18, 5 1 1
64.14, 18, 3 3 -1
86.41, 12, 4 2 4